The following is a computed X-ray diffraction stick pattern of Y2AlInPd4. It was derived from a DFT-relaxed cell (GGA-PBE, OQMD), using Cu Kα X-rays.
Intensities are scaled so that the largest is 100.

Principal peaks in the range 10° ≤ 2θ ≤ 90°, most intense first:
2θ (°)  d [Å]  Rel. int.
37.7  2.387  100
40.5  2.230  81
56.5  1.629  30
71.7  1.316  29
23.0  3.862  17
73.6  1.287  13
66.1  1.413  13
30.3  2.945  11
25.0  3.556  11
19.5  4.554  9

Structure:
```
8
Lattice="4.460 0.000 0.000 -2.230 3.862 0.000 0.000 0.000 9.108" Properties=species:S:1:pos:R:3 pbc="T T T"
Y 0.000 2.575 2.239
Y 2.230 1.287 6.869
Al 0.000 0.000 0.000
In 0.000 0.000 4.554
Pd 0.000 2.575 5.392
Pd 0.000 2.575 8.398
Pd 2.230 1.287 0.710
Pd 2.230 1.287 3.715
```

=====

The following is a computed X-ray diffraction stick pattern of PrAl2In. It was derived from a DFT-relaxed cell (GGA-PBE, OQMD), using Cu Kα X-rays.
Intensities are scaled so that the largest is 100.

Principal peaks in the range 10° ≤ 2θ ≤ 90°, most intense first:
2θ (°)  d [Å]  Rel. int.
36.4  2.470  100
35.9  2.503  64
24.2  3.672  56
30.9  2.891  41
37.8  2.377  33
26.4  3.379  26
49.7  1.836  22
68.1  1.377  18
54.3  1.689  18
67.8  1.383  17

Structure:
```
16
Lattice="4.754 0.000 0.000 0.000 6.636 0.000 0.000 0.000 11.777" Properties=species:S:1:pos:R:3 pbc="T T T"
Pr 0.000 0.000 0.000
Pr 0.000 3.318 5.888
Pr 2.377 0.000 4.103
Pr 2.377 3.318 9.992
Al 0.000 0.000 6.232
Al 0.000 3.318 0.344
Al 2.377 0.000 9.535
Al 2.377 1.389 7.047
Al 2.377 1.929 1.159
Al 2.377 3.318 3.646
Al 2.377 4.707 1.159
Al 2.377 5.247 7.047
In 0.000 1.548 8.757
In 0.000 1.770 2.869
In 0.000 4.866 2.869
In 0.000 5.088 8.757
```

=====

The following is a computed X-ray diffraction stick pattern of PrAlIn2. It was derived from a DFT-relaxed cell (GGA-PBE, OQMD), using Cu Kα X-rays.
Intensities are scaled so that the largest is 100.

Principal peaks in the range 10° ≤ 2θ ≤ 90°, most intense first:
2θ (°)  d [Å]  Rel. int.
35.4  2.535  100
35.7  2.517  42
36.4  2.467  31
23.5  3.778  26
30.3  2.954  20
67.0  1.397  17
64.9  1.437  17
54.1  1.695  16
15.0  5.909  16
30.5  2.927  16

Structure:
```
16
Lattice="4.935 0.000 0.000 0.000 11.707 0.000 0.000 0.000 6.845" Properties=species:S:1:pos:R:3 pbc="T T T"
Pr 1.234 1.895 0.000
Pr 1.234 7.749 3.422
Pr 3.701 3.958 3.422
Pr 3.701 9.812 0.000
Al 1.234 5.052 1.554
Al 1.234 10.906 4.977
Al 3.701 0.801 4.977
Al 3.701 6.655 1.554
In 1.234 1.787 3.529
In 1.234 4.927 5.332
In 1.234 7.641 0.107
In 1.234 10.781 1.909
In 3.701 0.927 1.909
In 3.701 4.066 0.107
In 3.701 6.780 5.332
In 3.701 9.920 3.529
```

=====

The following is a computed X-ray diffraction stick pattern of Pr2Al3In3. It was derived from a DFT-relaxed cell (GGA-PBE, OQMD), using Cu Kα X-rays.
Intensities are scaled so that the largest is 100.

Principal peaks in the range 10° ≤ 2θ ≤ 90°, most intense first:
2θ (°)  d [Å]  Rel. int.
35.8  2.505  100
30.6  2.923  35
37.0  2.432  20
23.8  3.739  20
48.7  1.869  19
67.6  1.386  17
54.4  1.688  17
18.2  4.864  17
65.9  1.418  16
66.8  1.400  13

Structure:
```
8
Lattice="6.750 0.000 0.000 -3.375 5.846 0.000 0.000 0.000 4.864" Properties=species:S:1:pos:R:3 pbc="T T T"
Pr 0.000 0.000 0.000
Pr 0.000 3.897 2.432
Al 1.950 1.126 2.432
Al 4.800 1.126 2.432
Al 3.375 3.594 2.432
In 3.375 0.165 0.000
In 1.830 2.841 0.000
In 4.920 2.841 0.000
```

=====

The following is a computed X-ray diffraction stick pattern of Ta2AlInPt2. It was derived from a DFT-relaxed cell (GGA-PBE, OQMD), using Cu Kα X-rays.
Intensities are scaled so that the largest is 100.

Principal peaks in the range 10° ≤ 2θ ≤ 90°, most intense first:
2θ (°)  d [Å]  Rel. int.
33.0  2.713  100
39.6  2.275  66
42.4  2.131  57
44.1  2.053  47
46.6  1.950  44
43.0  2.102  36
37.5  2.396  36
44.6  2.032  33
36.3  2.476  32
64.7  1.441  28

Structure:
```
24
Lattice="12.331 0.000 0.000 0.000 2.883 0.000 -1.953 0.000 12.236" Properties=species:S:1:pos:R:3 pbc="T T T"
Ta 0.000 0.000 0.000
Ta -0.894 1.441 7.187
Ta 1.459 0.000 7.778
Ta 3.152 1.441 3.240
Ta 5.418 1.441 1.596
Ta 6.421 0.000 6.683
Ta 6.576 1.441 9.112
Ta 10.269 0.000 1.760
Al -0.657 0.000 9.656
Al 3.677 0.000 5.844
Al 7.716 0.000 11.300
Al 8.686 1.441 7.530
In 2.696 1.441 0.315
In 4.194 1.441 10.942
In 7.710 0.000 3.361
In 11.391 1.441 4.131
Pt 0.915 0.000 2.488
Pt 1.549 1.441 5.442
Pt 1.848 0.000 10.356
Pt 4.207 0.000 8.386
Pt 5.491 1.441 4.506
Pt 8.094 1.441 0.709
Pt 9.454 0.000 5.634
Pt 9.539 1.441 9.900
```

=====

The following is a computed X-ray diffraction stick pattern of AlZnInTeSe3. It was derived from a DFT-relaxed cell (GGA-PBE, OQMD), using Cu Kα X-rays.
Intensities are scaled so that the largest is 100.

Principal peaks in the range 10° ≤ 2θ ≤ 90°, most intense first:
2θ (°)  d [Å]  Rel. int.
26.4  3.370  100
26.3  3.387  47
44.1  2.053  41
27.0  3.304  37
43.3  2.088  22
27.6  3.233  22
43.6  2.076  22
44.3  2.045  19
17.2  5.151  18
44.9  2.021  17

Structure:
```
7
Lattice="5.757 0.000 0.000 -0.095 5.771 0.000 -2.765 -2.762 5.923" Properties=species:S:1:pos:R:3 pbc="T T T"
Al 0.000 0.000 0.000
Zn 0.152 0.036 5.908
In 2.911 -0.041 2.878
Te -1.195 1.714 4.318
Se 1.308 1.493 1.423
Se 1.450 -1.562 4.473
Se 4.438 4.217 1.425
```

=====

The following is a computed X-ray diffraction stick pattern of SmAlInTe3. It was derived from a DFT-relaxed cell (GGA-PBE, OQMD), using Cu Kα X-rays.
Intensities are scaled so that the largest is 100.

Principal peaks in the range 10° ≤ 2θ ≤ 90°, most intense first:
2θ (°)  d [Å]  Rel. int.
27.8  3.205  100
30.9  2.894  99
26.8  3.333  69
25.8  3.455  65
39.1  2.304  63
40.4  2.230  50
31.1  2.878  47
57.5  1.602  40
30.6  2.918  35
37.3  2.410  34

Structure:
```
12
Lattice="2.230 -7.520 0.000 2.230 7.520 0.000 0.000 0.000 11.672" Properties=species:S:1:pos:R:3 pbc="T T T"
Sm 0.000 0.000 0.000
Sm 0.000 0.000 5.836
Al 2.230 0.502 8.754
Al 2.230 -0.502 2.918
In 2.230 3.980 2.918
In 2.230 -3.980 8.754
Te 2.230 6.360 8.754
Te 2.230 2.136 6.606
Te 2.230 2.136 10.902
Te 2.230 -2.136 0.770
Te 2.230 -2.136 5.066
Te 2.230 -6.360 2.918
```

=====

The following is a computed X-ray diffraction stick pattern of Tb2AlIn5. It was derived from a DFT-relaxed cell (GGA-PBE, OQMD), using Cu Kα X-rays.
Intensities are scaled so that the largest is 100.

Principal peaks in the range 10° ≤ 2θ ≤ 90°, most intense first:
2θ (°)  d [Å]  Rel. int.
36.2  2.485  100
36.0  2.494  53
35.6  2.521  36
64.3  1.449  28
31.3  2.855  27
67.8  1.383  20
55.6  1.654  19
23.5  3.780  16
48.1  1.890  16
68.3  1.374  15

Structure:
```
16
Lattice="5.043 0.000 0.000 0.000 6.583 0.000 0.000 0.000 11.479" Properties=species:S:1:pos:R:3 pbc="T T T"
Tb 0.000 0.000 0.000
Tb 0.000 3.291 5.740
Tb 2.521 0.000 3.879
Tb 2.521 3.291 9.618
Al 2.521 0.000 9.459
Al 2.521 3.291 3.720
In 0.000 0.000 5.856
In 0.000 1.553 8.643
In 0.000 1.738 2.904
In 0.000 3.291 0.116
In 0.000 4.844 2.904
In 0.000 5.030 8.643
In 2.521 1.582 6.797
In 2.521 1.709 1.058
In 2.521 4.874 1.058
In 2.521 5.001 6.797
```

=====

The following is a computed X-ray diffraction stick pattern of Zr2AlZn2In. It was derived from a DFT-relaxed cell (GGA-PBE, OQMD), using Cu Kα X-rays.
Intensities are scaled so that the largest is 100.

Principal peaks in the range 10° ≤ 2θ ≤ 90°, most intense first:
2θ (°)  d [Å]  Rel. int.
36.1  2.488  100
40.3  2.237  72
55.2  1.663  28
70.6  1.335  26
71.9  1.313  24
73.3  1.292  12
23.0  3.875  11
13.6  6.489  9
56.7  1.622  8
87.1  1.119  7

Structure:
```
6
Lattice="4.474 0.000 0.000 -2.237 3.875 0.000 0.000 0.000 6.489" Properties=species:S:1:pos:R:3 pbc="T T T"
Zr 0.000 0.000 1.557
Zr 0.000 0.000 4.932
Al 0.000 2.583 0.000
Zn 0.000 2.583 3.245
Zn 2.237 1.292 0.000
In 2.237 1.292 3.245
```

=====

The following is a computed X-ray diffraction stick pattern of ZrAlIn. It was derived from a DFT-relaxed cell (GGA-PBE, OQMD), using Cu Kα X-rays.
Intensities are scaled so that the largest is 100.

Principal peaks in the range 10° ≤ 2θ ≤ 90°, most intense first:
2θ (°)  d [Å]  Rel. int.
37.9  2.373  100
22.9  3.876  74
44.8  2.024  37
68.5  1.370  33
54.7  1.678  17
60.1  1.540  15
85.6  1.135  11
73.3  1.292  11
81.0  1.187  10
26.6  3.356  6

Structure:
```
12
Lattice="6.713 0.000 0.000 0.000 6.713 0.000 0.000 0.000 6.713" Properties=species:S:1:pos:R:3 pbc="T T T"
Zr 0.000 0.000 0.000
Zr 0.000 3.356 3.356
Zr 3.356 0.000 3.356
Zr 3.356 3.356 0.000
Al 1.678 1.678 5.034
Al 1.678 5.034 1.678
Al 5.034 1.678 1.678
Al 5.034 5.034 5.034
In 1.678 1.678 1.678
In 1.678 5.034 5.034
In 5.034 1.678 5.034
In 5.034 5.034 1.678
```

=====

The following is a computed X-ray diffraction stick pattern of Al3Ir. It was derived from a DFT-relaxed cell (GGA-PBE, OQMD), using Cu Kα X-rays.
Intensities are scaled so that the largest is 100.

Principal peaks in the range 10° ≤ 2θ ≤ 90°, most intense first:
2θ (°)  d [Å]  Rel. int.
25.5  3.495  100
43.3  2.089  88
28.0  3.190  84
41.7  2.167  84
22.8  3.907  39
46.5  1.954  34
64.2  1.451  31
74.9  1.268  28
53.8  1.705  26
65.4  1.427  16

Structure:
```
32
Lattice="7.815 0.000 0.000 0.000 7.815 0.000 0.000 0.000 7.815" Properties=species:S:1:pos:R:3 pbc="T T T"
Al 0.000 1.274 2.346
Al 0.000 1.274 5.469
Al 0.000 6.541 2.346
Al 0.000 6.541 5.469
Al 1.274 2.346 0.000
Al 1.274 5.469 0.000
Al 1.561 2.633 3.907
Al 1.561 5.181 3.907
Al 2.346 0.000 1.274
Al 2.346 0.000 6.541
Al 2.633 3.907 1.561
Al 2.633 3.907 6.253
Al 3.907 1.561 2.633
Al 3.907 1.561 5.181
Al 3.907 6.253 2.633
Al 3.907 6.253 5.181
Al 5.181 3.907 1.561
Al 5.181 3.907 6.253
Al 5.469 0.000 1.274
Al 5.469 0.000 6.541
Al 6.253 2.633 3.907
Al 6.253 5.181 3.907
Al 6.541 2.346 0.000
Al 6.541 5.469 0.000
Ir 0.000 0.000 0.000
Ir 0.000 3.907 1.954
Ir 0.000 3.907 5.861
Ir 1.954 0.000 3.907
Ir 3.907 1.954 0.000
Ir 3.907 3.907 3.907
Ir 3.907 5.861 0.000
Ir 5.861 0.000 3.907
```

=====

The following is a computed X-ray diffraction stick pattern of Al9Ir2. It was derived from a DFT-relaxed cell (GGA-PBE, OQMD), using Cu Kα X-rays.
Intensities are scaled so that the largest is 100.

Principal peaks in the range 10° ≤ 2θ ≤ 90°, most intense first:
2θ (°)  d [Å]  Rel. int.
19.5  4.542  100
21.5  4.136  74
29.4  3.034  64
22.6  3.931  61
45.1  2.011  59
45.3  2.003  57
42.6  2.125  56
24.6  3.621  54
28.0  3.188  47
43.3  2.092  47

Structure:
```
22
Lattice="6.400 0.000 0.000 0.000 6.472 0.000 -0.763 0.000 8.737" Properties=species:S:1:pos:R:3 pbc="T T T"
Al 0.000 0.000 0.000
Al -0.381 3.236 4.369
Al 0.072 1.396 6.357
Al 0.454 1.840 1.988
Al 1.327 3.903 0.342
Al 0.945 5.804 4.711
Al 1.725 1.262 8.719
Al 2.107 1.974 4.350
Al 1.975 3.365 6.729
Al 2.356 6.342 2.360
Al 3.281 0.129 6.377
Al 3.662 3.106 2.009
Al 3.530 4.498 4.387
Al 3.912 5.210 0.018
Al 4.691 0.667 4.027
Al 4.310 2.569 8.395
Al 5.183 4.631 6.749
Al 5.564 5.076 2.381
Ir 1.438 4.030 2.896
Ir 1.057 5.677 7.265
Ir 4.580 0.794 1.472
Ir 4.199 2.441 5.841
```

=====

The following is a computed X-ray diffraction stick pattern of Al2Ir. It was derived from a DFT-relaxed cell (GGA-PBE, OQMD), using Cu Kα X-rays.
Intensities are scaled so that the largest is 100.

Principal peaks in the range 10° ≤ 2θ ≤ 90°, most intense first:
2θ (°)  d [Å]  Rel. int.
43.7  2.072  100
25.3  3.524  93
27.0  3.305  86
40.7  2.217  83
31.4  2.852  42
29.8  2.998  40
46.4  1.957  26
54.5  1.684  25
53.2  1.721  22
47.6  1.910  22

Structure:
```
12
Lattice="5.703 0.000 0.000 0.000 3.913 0.000 0.000 0.000 8.109" Properties=species:S:1:pos:R:3 pbc="T T T"
Al 0.346 0.978 1.230
Al 0.868 0.978 4.296
Al 1.983 2.935 0.242
Al 2.505 2.935 5.285
Al 3.198 0.978 2.824
Al 3.720 0.978 7.867
Al 4.835 2.935 3.812
Al 5.357 2.935 6.879
Ir 1.420 2.935 2.731
Ir 1.432 0.978 6.786
Ir 4.272 2.935 1.323
Ir 4.283 0.978 5.378
```